Entry 1:
This entry pairs a crystal structure of Y2Ti3Si4 with its theoretical powder diffractogram. Radiation: a wavelength of 1.5418 Å. Structure: a GGA-PBE-relaxed structure.
Neutral-atom scattering factors, no anomalous dispersion.

Main lines, low angle first (10° ≤ 2θ ≤ 90°):
- 2θ = 33.74°, rel. 53.3, (1 2 1)
- 2θ = 34.16°, rel. 50.3, (2 1 -2)
- 2θ = 36.41°, rel. 100.0, (2 2 -1)
- 2θ = 36.76°, rel. 93.5, (1 1 2)
- 2θ = 37.10°, rel. 45.3, (2 2 0)
- 2θ = 40.88°, rel. 66.6, (0 3 1)
- 2θ = 41.53°, rel. 57.8, (1 1 -3)
- 2θ = 63.22°, rel. 35.4, (1 3 3)

```
data_Y2Ti3Si4
_space_group_name_H-M_alt 'P 1 21/c 1'
_space_group_IT_number 14
_space_group_name_Hall '-P 2ybc'
_cell_length_a 7.0575
_cell_length_b 7.0431
_cell_length_c 6.8589
_cell_angle_alpha 90.00
_cell_angle_beta 108.84
_cell_angle_gamma 90.00
loop_
_atom_site_label
_atom_site_type_symbol
_atom_site_fract_x
_atom_site_fract_y
_atom_site_fract_z
Y1 Y 0.1894 0.1688 0.0673
Ti1 Ti 0.2569 0.6767 0.2496
Ti2 Ti 0.5000 0.0000 0.5000
Si1 Si 0.0853 0.5400 0.8716
Si2 Si 0.4966 0.1252 0.8692
```


Entry 2:
This entry pairs a crystal structure of Zr3Ti4Si4 with its theoretical powder diffractogram. Radiation: a wavelength of 1.5418 Å. Structure: a GGA-PBE-relaxed structure.
Neutral-atom scattering factors, no anomalous dispersion.

Main lines, low angle first (10° ≤ 2θ ≤ 90°):
- 2θ = 33.69°, rel. 39.6, (0 1 5)
- 2θ = 34.93°, rel. 100.0, (1 2 1)
- 2θ = 37.62°, rel. 87.9, (1 1 4)
- 2θ = 40.17°, rel. 39.7, (0 3 3)
- 2θ = 47.54°, rel. 14.8, (0 4 0)
- 2θ = 51.12°, rel. 21.5, (2 0 0)
- 2θ = 66.93°, rel. 16.1, (2 3 3)
- 2θ = 72.25°, rel. 18.5, (1 5 4)

```
data_Zr3Ti4Si4
_space_group_name_H-M_alt 'I m m m'
_space_group_IT_number 71
_space_group_name_Hall '-I 2 2'
_cell_length_a 3.5738
_cell_length_b 7.6512
_cell_length_c 14.1847
_cell_angle_alpha 90.00
_cell_angle_beta 90.00
_cell_angle_gamma 90.00
loop_
_atom_site_label
_atom_site_type_symbol
_atom_site_fract_x
_atom_site_fract_y
_atom_site_fract_z
Zr1 Zr 0.0000 0.0000 0.0000
Zr2 Zr 0.0000 0.5000 0.1160
Ti1 Ti 0.0000 0.3008 0.3283
Si1 Si 0.0000 0.0000 0.2359
Si2 Si 0.0000 0.1985 0.5000
```


Entry 3:
This entry pairs a crystal structure of ZrTiSi with its theoretical powder diffractogram. Radiation: a wavelength of 1.5418 Å. Structure: a GGA-PBE-relaxed structure.
Neutral-atom scattering factors, no anomalous dispersion.

Main lines, low angle first (10° ≤ 2θ ≤ 90°):
- 2θ = 34.97°, rel. 14.0, (2 0 0)
- 2θ = 35.88°, rel. 100.0, (1 2 1)
- 2θ = 40.39°, rel. 17.3, (2 1 1)
- 2θ = 44.63°, rel. 13.5, (0 3 1)
- 2θ = 44.78°, rel. 12.0, (0 1 3)
- 2θ = 45.28°, rel. 15.3, (2 0 2)
- 2θ = 63.31°, rel. 17.6, (3 2 1)
- 2θ = 72.61°, rel. 12.6, (2 3 3)

```
data_ZrTiSi
_space_group_name_H-M_alt 'I m a 2'
_space_group_IT_number 46
_space_group_name_Hall 'I 2 -2a'
_cell_length_a 5.1317
_cell_length_b 6.4232
_cell_length_c 6.3977
_cell_angle_alpha 90.00
_cell_angle_beta 90.00
_cell_angle_gamma 90.00
loop_
_atom_site_label
_atom_site_type_symbol
_atom_site_fract_x
_atom_site_fract_y
_atom_site_fract_z
Zr1 Zr 0.2500 0.1523 0.0000
Ti1 Ti 0.2500 0.6599 0.8119
Si1 Si 0.0000 0.0000 0.6467
```


Entry 4:
This entry pairs a crystal structure of Zr2TiSi2 with its theoretical powder diffractogram. Radiation: a wavelength of 1.5418 Å. Structure: a GGA-PBE-relaxed structure.
Neutral-atom scattering factors, no anomalous dispersion.

Main lines, low angle first (10° ≤ 2θ ≤ 90°):
- 2θ = 29.05°, rel. 29.4, (2 1 0)
- 2θ = 35.39°, rel. 46.9, (2 0 1)
- 2θ = 37.81°, rel. 100.0, (2 1 1)
- 2θ = 41.55°, rel. 31.7, (3 1 0)
- 2θ = 48.45°, rel. 16.5, (0 0 2)
- 2θ = 60.78°, rel. 19.2, (4 1 1)
- 2θ = 62.43°, rel. 18.2, (3 3 1)
- 2θ = 65.69°, rel. 15.3, (3 1 2)

```
data_Zr2TiSi2
_space_group_name_H-M_alt 'P 4/m b m'
_space_group_IT_number 127
_space_group_name_Hall '-P 4 2ab'
_cell_length_a 6.8738
_cell_length_b 6.8738
_cell_length_c 3.7577
_cell_angle_alpha 90.00
_cell_angle_beta 90.00
_cell_angle_gamma 90.00
loop_
_atom_site_label
_atom_site_type_symbol
_atom_site_fract_x
_atom_site_fract_y
_atom_site_fract_z
Zr1 Zr 0.1741 0.3259 0.0000
Ti1 Ti 0.0000 0.0000 0.5000
Si1 Si 0.1256 0.6256 0.5000
```


Entry 5:
This entry pairs a crystal structure of TlSi with its theoretical powder diffractogram. Radiation: a wavelength of 1.5418 Å. Structure: a GGA-PBE-relaxed structure.
Neutral-atom scattering factors, no anomalous dispersion.

Main lines, low angle first (10° ≤ 2θ ≤ 90°):
- 2θ = 10.83°, rel. 56.3, (0 0 1)
- 2θ = 27.44°, rel. 69.5, (1 1 1)
- 2θ = 30.65°, rel. 45.5, (0 1 -1)
- 2θ = 31.01°, rel. 85.9, (1 0 -1)
- 2θ = 32.72°, rel. 100.0, (1 0 2)
- 2θ = 32.89°, rel. 48.8, (0 0 3)
- 2θ = 33.02°, rel. 49.7, (0 1 2)
- 2θ = 47.92°, rel. 39.0, (1 2 1)

```
data_TlSi
_space_group_name_H-M_alt 'P -1'
_space_group_IT_number 2
_space_group_name_Hall '-P 1'
_cell_length_a 3.7870
_cell_length_b 3.7955
_cell_length_c 8.4371
_cell_angle_alpha 77.83
_cell_angle_beta 77.17
_cell_angle_gamma 60.12
loop_
_atom_site_label
_atom_site_type_symbol
_atom_site_fract_x
_atom_site_fract_y
_atom_site_fract_z
Tl1 Tl 0.1086 0.1126 0.1711
Si1 Si 0.3148 0.3174 0.5533
```


Entry 6:
This entry pairs a crystal structure of TlSi with its theoretical powder diffractogram. Radiation: a wavelength of 1.5418 Å. Structure: a GGA-PBE-relaxed structure.
Neutral-atom scattering factors, no anomalous dispersion.

Main lines, low angle first (10° ≤ 2θ ≤ 90°):
- 2θ = 22.89°, rel. 100.0, (1 0 1)
- 2θ = 27.44°, rel. 40.9, (1 3 0)
- 2θ = 31.38°, rel. 79.0, (2 3 0)
- 2θ = 32.59°, rel. 38.4, (2 2 1)
- 2θ = 33.77°, rel. 42.9, (3 0 1)
- 2θ = 34.91°, rel. 58.0, (3 1 1)
- 2θ = 43.11°, rel. 46.5, (0 0 2)
- 2θ = 54.28°, rel. 37.2, (2 3 2)

```
data_TlSi
_space_group_name_H-M_alt 'P 4/m'
_space_group_IT_number 83
_space_group_name_Hall '-P 4'
_cell_length_a 10.2797
_cell_length_b 10.2797
_cell_length_c 4.1968
_cell_angle_alpha 90.00
_cell_angle_beta 90.00
_cell_angle_gamma 90.00
loop_
_atom_site_label
_atom_site_type_symbol
_atom_site_fract_x
_atom_site_fract_y
_atom_site_fract_z
Tl1 Tl 0.0508 0.7828 0.0000
Tl2 Tl 0.3052 0.6483 0.5000
Si1 Si 0.0616 0.3944 0.5000
Si2 Si 0.1210 0.4975 0.0000
```